Starting from a cell relaxed with PBE, the powder diffractogram of Pm2Y2Te5 was computed for Cu Kα (weighted mean of Kα1 and Kα2).
Kinematic intensities with the Lorentz-polarization factor, no thermal factor.

Most intense lines, 15° ≤ 2θ ≤ 90°, in order of rising 2θ:
2θ 24.81, I 62; 2θ 26.58, I 63; 2θ 28.42, I 50; 2θ 32.97, I 100; 2θ 34.62, I 49; 2θ 41.03, I 53

Structural model:
```
data_Pm2Y2Te5
_chemical_formula_sum 'Pm8 Y8 Te20'
_space_group_name_H-M_alt 'I m a 2'
_space_group_IT_number 46
_cell_length_a 18.534
_cell_length_b 7.870
_cell_length_c 8.231
_cell_angle_alpha 90.00
_cell_angle_beta 90.00
_cell_angle_gamma 90.00
loop_
_space_group_symop_operation_xyz
'x,y,z'
'-x,-y,z'
'-x+1/2,y,z'
'x+1/2,-y,z'
'x+1/2,y+1/2,z+1/2'
'-x+1/2,-y+1/2,z+1/2'
'-x,y+1/2,z+1/2'
'x,-y+1/2,z+1/2'
loop_
_atom_site_label
_atom_site_type_symbol
_atom_site_fract_x
_atom_site_fract_y
_atom_site_fract_z
Pm1 Pm 0.101 0.012 0.000
Y1 Y 0.000 0.000 0.602
Y2 Y 0.250 0.025 0.367
Te1 Te 0.060 0.693 0.809
Te2 Te 0.154 0.157 0.661
Te3 Te 0.250 0.671 0.542
```